Starting from DFT lattice parameters and positions (GGA-PBE), the XRD peak list of Li2ThPbBr8 was simulated for CuKα.
No peak broadening, texture or thermal motion is included.

Principal peaks in the range 2θ = 10–80°, in order of rising 2θ:
2θ 12.79, I 93, (1 0 0); 2θ 12.93, I 100, (0 1 0); 2θ 16.14, I 76, (1 1 0); 2θ 20.10, I 47, (1 -1 0); 2θ 23.73, I 45, (1 1 2); 2θ 28.82, I 95, (1 1 -2); 2θ 28.98, I 91, (1 2 2); 2θ 31.36, I 76, (2 -1 0); 2θ 42.52, I 43, (2 3 0); 2θ 43.22, I 62, (3 1 2)

Crystal structure
```
Li2ThPbBr8
1.0
7.0878 0.0000 0.0000
1.5146 7.1856 0.0000
0.0435 2.7227 8.5687
Li Th Pb Br
2 1 1 8
direct
0.0404 0.1414 0.3285
0.9596 0.8586 0.6715
0.5000 0.5000 0.0000
0.5000 0.5000 0.5000
0.1094 0.7720 0.4414
0.1323 0.7531 0.9415
0.3770 0.2648 0.2910
0.3817 0.2770 0.8208
0.6183 0.7230 0.1792
0.6230 0.7352 0.7090
0.8677 0.2469 0.0585
0.8906 0.2280 0.5586
```